[1]
This entry pairs a crystal structure of Tl3GeS4 with its calculated powder diffractogram. Radiation: Cu Kα X-rays. Structure: a PBE-relaxed structure.

Principal peaks in the range 2θ = 15–90°, by angle:
| hkl | d [Å] | intensity |
| --- | --- | --- |
| 2 1 1 | 3.510 | 100 |
| 0 0 2 | 3.259 | 34 |
| 0 2 0 | 3.119 | 35 |
| 4 0 0 | 2.798 | 28 |
| 0 2 2 | 2.253 | 22 |
| 2 1 3 | 1.926 | 19 |
| 4 2 2 | 1.755 | 18 |
| 6 1 1 | 1.723 | 19 |

Structural model:
```
data_Tl3GeS4
_chemical_formula_sum 'Tl6 Ge2 S8'
_cell_length_a 11.191
_cell_length_b 6.237
_cell_length_c 6.519
_cell_angle_alpha 90.00
_cell_angle_beta 90.00
_cell_angle_gamma 90.00
_space_group_name_H-M_alt 'P m n 21'
_space_group_IT_number 31
_space_group_name_Hall 'P 2ac -2'
loop_
_atom_site_label
_atom_site_type_symbol
_atom_site_fract_x
_atom_site_fract_y
_atom_site_fract_z
Tl1 Tl 0.000 0.243 0.000
Tl2 Tl 0.249 0.246 0.453
Ge1 Ge 0.000 0.823 0.535
S1 S 0.000 0.186 0.527
S2 S 0.000 0.735 0.874
S3 S 0.176 0.719 0.405
```


[2]
This entry pairs a crystal structure of Co3B with its calculated powder diffractogram. Radiation: Cu Kα X-rays. Structure: a PBE-relaxed structure.

Principal peaks in the range 2θ = 15–90°, by angle:
| hkl | d [Å] | intensity |
| --- | --- | --- |
| 1 2 1 | 2.352 | 64 |
| 2 1 1 | 2.109 | 66 |
| 2 2 0 | 2.034 | 91 |
| 1 0 2 | 2.022 | 80 |
| 0 3 1 | 1.970 | 100 |
| 1 1 2 | 1.933 | 71 |
| 2 2 1 | 1.846 | 46 |
| 1 3 1 | 1.841 | 45 |

Structural model:
```
data_Co3B
_chemical_formula_sum 'Co12 B4'
_cell_length_a 5.160
_cell_length_b 6.613
_cell_length_c 4.395
_cell_angle_alpha 90.00
_cell_angle_beta 90.00
_cell_angle_gamma 90.00
_space_group_name_H-M_alt 'P n m a'
_space_group_IT_number 62
_space_group_name_Hall '-P 2ac 2n'
loop_
_atom_site_label
_atom_site_type_symbol
_atom_site_fract_x
_atom_site_fract_y
_atom_site_fract_z
Co1 Co 0.025 0.250 0.134
Co2 Co 0.184 0.059 0.650
B1 B 0.120 0.750 0.437
```


[3]
This entry pairs a crystal structure of Sm2Al3Ag with its calculated powder diffractogram. Radiation: Cu Kα X-rays. Structure: a PBE-relaxed structure.

Principal peaks in the range 2θ = 15–90°, by angle:
| hkl | d [Å] | intensity |
| --- | --- | --- |
| 0 0 4 | 3.992 | 34 |
| 2 2 2 | 2.720 | 100 |
| 0 4 0 | 2.305 | 48 |
| 4 0 0 | 1.858 | 8 |
| 2 0 8 | 1.758 | 27 |
| 4 4 0 | 1.447 | 22 |
| 2 4 8 | 1.399 | 17 |
| 2 6 2 | 1.397 | 8 |

Structural model:
```
data_Sm2Al3Ag
_chemical_formula_sum 'Sm16 Al24 Ag8'
_cell_length_a 7.433
_cell_length_b 9.207
_cell_length_c 15.990
_cell_angle_alpha 90.00
_cell_angle_beta 90.00
_cell_angle_gamma 90.00
_space_group_name_H-M_alt 'F m m m'
_space_group_IT_number 69
_space_group_name_Hall '-F 2 2'
loop_
_atom_site_label
_atom_site_type_symbol
_atom_site_fract_x
_atom_site_fract_y
_atom_site_fract_z
Sm1 Sm 0.244 0.000 0.000
Sm2 Sm 0.250 0.250 0.250
Al1 Al 0.000 0.000 0.335
Al2 Al 0.000 0.248 0.417
Ag1 Ag 0.000 0.000 0.168
```


[4]
This entry pairs a crystal structure of Na6LiSb2 with its calculated powder diffractogram. Radiation: Cu Kα X-rays. Structure: a PBE-relaxed structure.

Principal peaks in the range 2θ = 15–90°, by angle:
| hkl | d [Å] | intensity |
| --- | --- | --- |
| 0 0 6 | 5.179 | 66 |
| 1 0 1 | 4.616 | 74 |
| 1 0 4 | 4.001 | 35 |
| 0 1 5 | 3.733 | 51 |
| 1 1 0 | 2.695 | 100 |
| 1 0 10 | 2.587 | 59 |
| 1 1 6 | 2.391 | 55 |
| 0 2 10 | 1.867 | 37 |

Structural model:
```
data_Na6LiSb2
_chemical_formula_sum 'Na18 Li3 Sb6'
_cell_length_a 5.3902
_cell_length_b 5.3902
_cell_length_c 31.0757
_cell_angle_alpha 90.00
_cell_angle_beta 90.00
_cell_angle_gamma 120.00
_space_group_name_H-M_alt 'R -3 m'
_space_group_IT_number 166
_space_group_name_Hall '-R 3 2"'
loop_
_atom_site_label
_atom_site_type_symbol
_atom_site_fract_x
_atom_site_fract_y
_atom_site_fract_z
Na1 Na 0.0000 0.0000 0.0797
Na2 Na 0.0000 0.0000 0.2057
Na3 Na 0.0000 0.0000 0.3085
Li1 Li 0.0000 0.0000 0.5000
Sb1 Sb 0.0000 0.0000 0.4107
```


[5]
This entry pairs a crystal structure of AcPu2O7 with its calculated powder diffractogram. Radiation: Cu Kα X-rays. Structure: a PBE-relaxed structure.

Principal peaks in the range 2θ = 15–90°, by angle:
| hkl | d [Å] | intensity |
| --- | --- | --- |
| 0 0 9 | 3.535 | 53 |
| 0 1 2 | 3.312 | 100 |
| 0 1 5 | 2.989 | 48 |
| 1 0 7 | 2.715 | 63 |
| 1 1 0 | 1.955 | 51 |
| 0 1 14 | 1.887 | 33 |
| 1 0 16 | 1.715 | 24 |
| 1 1 9 | 1.711 | 43 |

Structural model:
```
data_AcPu2O7
_chemical_formula_sum 'Ac3 Pu6 O21'
_cell_length_a 3.9099
_cell_length_b 3.9099
_cell_length_c 31.8193
_cell_angle_alpha 90.00
_cell_angle_beta 90.00
_cell_angle_gamma 120.00
_space_group_name_H-M_alt 'R -3 m'
_space_group_IT_number 166
_space_group_name_Hall '-R 3 2"'
loop_
_atom_site_label
_atom_site_type_symbol
_atom_site_fract_x
_atom_site_fract_y
_atom_site_fract_z
Ac1 Ac 0.0000 0.0000 0.0000
Pu1 Pu 0.0000 0.0000 0.4354
O1 O 0.0000 0.0000 0.0831
O2 O 0.0000 0.0000 0.2196
O3 O 0.0000 0.0000 0.3678
O4 O 0.0000 0.0000 0.5000
```